Entry 1:
The following is a simulated X-ray powder pattern of Na5AgHg. It was derived from a structure optimized by DFT (PBE), using Cu Kα X-rays.

Top 10 peaks for 2θ from 10° to 80°, by angle:
- (1 1 1), d = 5.063 Å, I 166
- (1 1 2), d = 4.270 Å, I 1000
- (2 0 0), d = 4.094 Å, I 208
- (0 2 1), d = 3.521 Å, I 162
- (0 2 3), d = 2.854 Å, I 173
- (2 2 0), d = 2.723 Å, I 199
- (2 2 1), d = 2.671 Å, I 241
- (2 0 4), d = 2.633 Å, I 393
- (3 1 2), d = 2.396 Å, I 238
- (1 1 6), d = 2.113 Å, I 165

Atomic structure:
```
data_Na5AgHg
_chemical_formula_sum 'Na20 Ag4 Hg4'
_cell_length_a 8.188
_cell_length_b 7.292
_cell_length_c 13.757
_cell_angle_alpha 90.00
_cell_angle_beta 90.00
_cell_angle_gamma 90.00
_symmetry_space_group_name_H-M 'C m c m'
_symmetry_Int_Tables_number 63
_symmetry_space_group_name_Hall '-C 2c 2'
loop_
_atom_site_label
_atom_site_type_symbol
_atom_site_fract_x
_atom_site_fract_y
_atom_site_fract_z
_atom_site_occupancy
Na1 Na 0.000 0.023 0.250 1
Na2 Na 0.215 0.320 0.110 1
Ag1 Ag 0.000 0.000 0.000 1
Hg1 Hg 0.000 0.413 0.750 1
```

Entry 2:
The following is a simulated X-ray powder pattern of MnNbPt14. It was derived from a structure optimized by DFT (PBE), using Cu Kα X-rays.

Top 10 peaks for 2θ from 10° to 80°, by angle:
- (0 0 1), d = 7.871 Å, I 16
- (1 1 0), d = 3.984 Å, I 14
- (1 1 1), d = 3.555 Å, I 21
- (2 0 1), d = 2.653 Å, I 16
- (2 0 2), d = 2.291 Å, I 1000
- (2 2 0), d = 1.992 Å, I 333
- (0 0 4), d = 1.968 Å, I 158
- (4 0 0), d = 1.409 Å, I 109
- (2 2 4), d = 1.400 Å, I 211
- (4 2 2), d = 1.200 Å, I 261

Atomic structure:
```
data_MnNbPt14
_chemical_formula_sum 'Mn1 Nb1 Pt14'
_cell_length_a 5.635
_cell_length_b 5.635
_cell_length_c 7.871
_cell_angle_alpha 90.00
_cell_angle_beta 90.00
_cell_angle_gamma 90.00
_symmetry_space_group_name_H-M 'P 4/m m m'
_symmetry_Int_Tables_number 123
_symmetry_space_group_name_Hall '-P 4 2'
loop_
_atom_site_label
_atom_site_type_symbol
_atom_site_fract_x
_atom_site_fract_y
_atom_site_fract_z
_atom_site_occupancy
Mn1 Mn 0.000 0.000 0.000 1
Nb1 Nb 0.500 0.500 0.000 1
Pt1 Pt 0.000 0.000 0.500 1
Pt2 Pt 0.000 0.500 0.000 1
Pt3 Pt 0.000 0.500 0.500 1
Pt4 Pt 0.250 0.250 0.244 1
Pt5 Pt 0.500 0.500 0.500 1
```

Entry 3:
The following is a simulated X-ray powder pattern of Pm3Sm5S8. It was derived from a structure optimized by DFT (PBE), using Cu Kα X-rays.

Top 9 peaks for 2θ from 10° to 80°, by angle:
- (2 0 2), d = 3.282 Å, I 763
- (0 2 4), d = 2.842 Å, I 1000
- (2 2 0), d = 2.010 Å, I 723
- (2 2 6), d = 1.714 Å, I 378
- (4 0 4), d = 1.641 Å, I 251
- (0 4 8), d = 1.421 Å, I 116
- (4 2 2), d = 1.304 Å, I 115
- (2 0 14), d = 1.303 Å, I 38
- (2 4 4), d = 1.271 Å, I 321

Atomic structure:
```
data_Pm3Sm5S8
_chemical_formula_sum 'Pm9 Sm15 S24'
_cell_length_a 8.0431
_cell_length_b 8.0431
_cell_length_c 19.6686
_cell_angle_alpha 90.00
_cell_angle_beta 90.00
_cell_angle_gamma 120.00
_symmetry_space_group_name_H-M 'R -3 m'
_symmetry_Int_Tables_number 166
_symmetry_space_group_name_Hall '-R 3 2"'
loop_
_atom_site_label
_atom_site_type_symbol
_atom_site_fract_x
_atom_site_fract_y
_atom_site_fract_z
_atom_site_occupancy
Pm1 Pm 0.0000 0.5000 0.0000 1
Sm1 Sm 0.0000 0.0000 0.0000 1
Sm2 Sm 0.0000 0.0000 0.5000 1
Sm3 Sm 0.0000 0.5000 0.5000 1
S1 S 0.0000 0.0000 0.2491 1
S2 S 0.0011 0.5006 0.7506 1
```

Entry 4:
The following is a simulated X-ray powder pattern of CaPaRh2O8. It was derived from a structure optimized by DFT (PBE), using Cu Kα X-rays.

Top 10 peaks for 2θ from 10° to 80°, by angle:
- (0 0 1), d = 6.558 Å, I 1000
- (1 0 0), d = 4.883 Å, I 161
- (1 0 1), d = 3.916 Å, I 140
- (0 0 2), d = 3.279 Å, I 152
- (1 1 0), d = 2.819 Å, I 487
- (1 0 2), d = 2.722 Å, I 186
- (2 -1 1), d = 2.590 Å, I 405
- (2 -1 2), d = 2.138 Å, I 359
- (3 0 0), d = 1.628 Å, I 176
- (3 0 1), d = 1.580 Å, I 122

Atomic structure:
```
data_CaPaRh2O8
_chemical_formula_sum 'Ca1 Pa1 Rh2 O8'
_cell_length_a 5.6382
_cell_length_b 5.6382
_cell_length_c 6.5580
_cell_angle_alpha 90.00
_cell_angle_beta 90.00
_cell_angle_gamma 120.00
_symmetry_space_group_name_H-M 'P -3'
_symmetry_Int_Tables_number 147
loop_
_symmetry_equiv_pos_as_xyz
'x,y,z'
'-x,-y,-z'
'-y,x-y,z'
'y,-x+y,-z'
'-x+y,-x,z'
'x-y,x,-z'
loop_
_atom_site_label
_atom_site_type_symbol
_atom_site_fract_x
_atom_site_fract_y
_atom_site_fract_z
_atom_site_occupancy
Ca1 Ca 0.0000 0.0000 0.0000 1
Pa1 Pa 0.0000 0.0000 0.5000 1
Rh1 Rh 0.3333 0.6667 0.4380 1
O1 O 0.0711 0.3721 0.6491 1
O2 O 0.3333 0.6667 0.1580 1
```

Entry 5:
The following is a simulated X-ray powder pattern of Cd3GaS4. It was derived from a structure optimized by DFT (PBE), using Cu Kα X-rays.

Top 10 peaks for 2θ from 10° to 80°, by angle:
- (1 1 2), d = 3.406 Å, I 1000
- (2 0 0), d = 2.957 Å, I 144
- (0 0 4), d = 2.937 Å, I 71
- (2 2 0), d = 2.091 Å, I 193
- (2 0 4), d = 2.084 Å, I 382
- (3 1 2), d = 1.782 Å, I 296
- (1 1 6), d = 1.773 Å, I 146
- (4 0 0), d = 1.478 Å, I 59
- (3 1 6), d = 1.352 Å, I 114
- (4 2 4), d = 1.206 Å, I 119

Atomic structure:
```
data_Cd3GaS4
_chemical_formula_sum 'Cd6 Ga2 S8'
_cell_length_a 5.914
_cell_length_b 5.914
_cell_length_c 11.746
_cell_angle_alpha 90.00
_cell_angle_beta 90.00
_cell_angle_gamma 90.00
_symmetry_space_group_name_H-M 'I -4 2 m'
_symmetry_Int_Tables_number 121
_symmetry_space_group_name_Hall 'I -4 2'
loop_
_atom_site_label
_atom_site_type_symbol
_atom_site_fract_x
_atom_site_fract_y
_atom_site_fract_z
_atom_site_occupancy
Cd1 Cd 0.000 0.000 0.000 1
Cd2 Cd 0.000 0.500 0.250 1
Ga1 Ga 0.000 0.000 0.500 1
S1 S 0.239 0.239 0.380 1
```

Entry 6:
The following is a simulated X-ray powder pattern of Sr3Al2Pt2. It was derived from a structure optimized by DFT (PBE), using Cu Kα X-rays.

Top 10 peaks for 2θ from 10° to 80°, by angle:
- (1 0 0), d = 6.252 Å, I 381
- (1 1 1), d = 4.702 Å, I 210
- (0 2 0), d = 4.130 Å, I 295
- (1 1 3), d = 3.432 Å, I 203
- (2 1 1), d = 2.864 Å, I 339
- (0 2 4), d = 2.691 Å, I 314
- (1 3 0), d = 2.520 Å, I 239
- (2 1 3), d = 2.487 Å, I 1000
- (1 2 4), d = 2.472 Å, I 204
- (0 0 6), d = 2.366 Å, I 275

Atomic structure:
```
data_Sr3Al2Pt2
_chemical_formula_sum 'Sr12 Al8 Pt8'
_cell_length_a 6.252
_cell_length_b 8.259
_cell_length_c 14.195
_cell_angle_alpha 90.00
_cell_angle_beta 90.00
_cell_angle_gamma 90.00
_symmetry_space_group_name_H-M 'P b c m'
_symmetry_Int_Tables_number 57
loop_
_symmetry_equiv_pos_as_xyz
'x,y,z'
'-x,-y,-z'
'-x,-y,z+1/2'
'x,y,-z+1/2'
'x,-y+1/2,-z'
'-x,y+1/2,z'
'-x,y+1/2,-z+1/2'
'x,-y+1/2,z+1/2'
loop_
_atom_site_label
_atom_site_type_symbol
_atom_site_fract_x
_atom_site_fract_y
_atom_site_fract_z
_atom_site_occupancy
Sr1 Sr 0.138 0.231 0.250 1
Sr2 Sr 0.360 0.607 0.598 1
Al1 Al 0.096 0.250 0.000 1
Al2 Al 0.327 0.582 0.250 1
Pt1 Pt 0.132 0.527 0.093 1
```